Calculated XRD peak list
Compound: Na3Ca2MnO6
Radiation: λ = 1.5418 Å (Cu Kα)
Structure: DFT lattice parameters and positions (PBE+U)

Top 6 peaks for 2θ = 15–90°, most intense first:
| 2theta | d_spacing | I_rel |
| --- | --- | --- |
| 38.4 | 2.342 | 100 |
| 16.2 | 5.482 | 34 |
| 55.9 | 1.646 | 27 |
| 33.3 | 2.693 | 26 |
| 55.0 | 1.669 | 18 |
| 32.7 | 2.741 | 10 |

Atomic structure:
```
data_Na3Ca2MnO6
_chemical_formula_sum 'Na3 Ca2 Mn1 O6'
_cell_length_a 5.7023
_cell_length_b 5.7023
_cell_length_c 5.8064
_cell_angle_alpha 99.48
_cell_angle_beta 99.48
_cell_angle_gamma 120.07
_space_group_name_H-M_alt 'P 1'
_space_group_IT_number 1
_space_group_name_Hall 'P 1'
loop_
_atom_site_label
_atom_site_type_symbol
_atom_site_fract_x
_atom_site_fract_y
_atom_site_fract_z
_atom_site_occupancy
Na1 Na 0.0000 0.0000 0.0000 1
Na2 Na 0.3420 0.6580 0.0000 1
Na3 Na 0.6580 0.3420 0.0000 1
Ca1 Ca 0.1678 0.8322 0.5000 1
Ca2 Ca 0.8322 0.1678 0.5000 1
Mn1 Mn 0.5000 0.5000 0.5000 1
O1 O 0.1429 0.4304 0.2893 1
O2 O 0.2799 0.2799 0.7015 1
O3 O 0.4304 0.1429 0.2893 1
O4 O 0.5696 0.8571 0.7107 1
O5 O 0.7201 0.7201 0.2985 1
O6 O 0.8571 0.5696 0.7107 1
```